Theoretical powder XRD pattern
Compound: Ba2Pd15Pt2
Radiation: CuKα
Structure: the PBE geometry in Alexandria

The 10 most intense peaks (2θ = 5–70°), in order of falling intensity:
h k l	2theta	d [Å]	I_rel
3 0 3	38.75	2.324	1000
2 2 0	38.54	2.336	938
2 2 3	43.49	2.081	830
3 0 0	33.22	2.697	548
1 0 1	12.70	6.972	518
0 2 4	34.25	2.618	439
6 0 0	69.73	1.349	374
0 0 6	39.35	2.290	353
2 0 5	39.65	2.273	342
1 1 6	44.05	2.056	320

Structural model:
```
data_Ba2Pd15Pt2
_cell_length_a 9.3429
_cell_length_b 9.3429
_cell_length_c 13.7371
_cell_angle_alpha 90.00
_cell_angle_beta 90.00
_cell_angle_gamma 120.00
_symmetry_space_group_name_H-M 'R -3 m'
_symmetry_Int_Tables_number 166
_symmetry_space_group_name_Hall '-R 3 2"'
loop_
_atom_site_label
_atom_site_fract_x
_atom_site_fract_y
_atom_site_fract_z
Ba1 0.0000 0.0000 0.1589
Pd1 0.0000 0.2917 0.5000
Pd2 0.0000 0.5000 0.0000
Pd3 0.0021 0.5010 0.3456
Pt1 0.0000 0.0000 0.4018
```